Starting from a cell relaxed with PBE, the PXRD pattern of Tb5PmAu6 was simulated for Cu Kα X-rays.
Neutral-atom scattering factors, no anomalous dispersion.

Largest 10 diffraction maxima, sorted by position, 2θ from 5° to 70°:
2θ = 34.77°, 2.580 Å, I = 25.4, (0 0 3); 2θ = 34.88°, 2.573 Å, I = 25.4, (2 0 -1); 2θ = 35.02°, 2.562 Å, I = 100.0, (1 2 1); 2θ = 49.99°, 1.824 Å, I = 9.2, (2 0 2); 2θ = 50.15°, 1.819 Å, I = 9.1, (2 0 -4); 2θ = 50.67°, 1.802 Å, I = 8.8, (0 4 0); 2θ = 62.44°, 1.487 Å, I = 9.4, (1 2 4); 2θ = 62.56°, 1.485 Å, I = 18.8, (3 2 0); 2θ = 62.68°, 1.482 Å, I = 9.4, (3 2 -3); 2θ = 62.95°, 1.477 Å, I = 18.4, (2 4 -1)

Structural model:
```
Tb5PmAu6
1.0
5.145 0.000 0.000
0.000 7.207 0.000
-2.550 0.000 7.741
Tb Pm Au
5 1 6
Cartesian
0.000 0.000 0.000
0.012 3.604 5.155
0.012 0.000 5.170
2.583 0.000 2.571
2.583 3.604 2.586
0.000 3.604 0.000
0.014 1.786 2.627
0.014 5.421 2.627
2.573 1.746 0.000
2.573 5.461 0.000
2.580 1.786 5.113
2.580 5.421 5.113
```